Theoretical X-ray diffraction stick pattern
Compound: Ba2SrGa2
Radiation: Cu Kα
Structure: a structure optimized by DFT (PBE)
Kinematic intensities with the Lorentz-polarization factor, no thermal factor.

Cell and atoms:
Unit cell a=5.580 b=5.580 c=7.250 alpha=90.00 beta=90.00 gamma=120.00
Sites, in units of the cell vectors:
Ba (0.333, 0.667, 0.329)
Ba (0.667, 0.333, 0.671)
Sr (0.000, 0.000, 0.000)
Ga (0.333, 0.667, 0.860)
Ga (0.667, 0.333, 0.140)

Most intense lines, 5 to 70 degrees two-theta, in order of rising 2θ:
- 4.833 Å, 2θ = 18.36°, I 19
- 4.021 Å, 2θ = 22.11°, I 38
- 2.900 Å, 2θ = 30.83°, I 100
- 2.790 Å, 2θ = 32.08°, I 86
- 2.011 Å, 2θ = 45.09°, I 35
- 1.827 Å, 2θ = 49.92°, I 12
- 1.697 Å, 2θ = 54.03°, I 17
- 1.631 Å, 2θ = 56.41°, I 35
- 1.611 Å, 2θ = 57.18°, I 16
- 1.450 Å, 2θ = 64.24°, I 10